The following is a computed X-ray diffraction stick pattern of NaMn2CoOs. It was derived from the PBE geometry in Alexandria, using CuKα.

Peak list (12 most intense, 2θ = 5–70°, in order of falling intensity)
| (hkl) | d [Å] | two_theta | I (rel.) |
| --- | --- | --- | --- |
| 1 1 1 | 2.455 | 36.61 | 100 |
| 2 0 0 | 2.070 | 43.74 | 39 |
| 1 0 0 | 4.140 | 21.47 | 37 |
| 2 0 2 | 1.524 | 60.77 | 28 |
| 0 0 2 | 2.253 | 40.02 | 25 |
| 1 1 0 | 2.927 | 30.54 | 18 |
| 1 0 1 | 3.048 | 29.30 | 15 |
| 2 2 0 | 1.464 | 63.57 | 12 |
| 0 0 1 | 4.506 | 19.70 | 12 |
| 1 0 2 | 1.979 | 45.86 | 11 |
| 1 1 2 | 1.785 | 51.16 | 9 |
| 2 1 0 | 1.851 | 49.22 | 9 |

Cell and atoms:
```
data_NaMn2CoOs
_symmetry_space_group_name_H-M 'P 4/m m m'
_symmetry_Int_Tables_number 123
_symmetry_space_group_name_Hall '-P 4 2'
_cell_length_a 4.140
_cell_length_b 4.140
_cell_length_c 4.506
_cell_angle_alpha 90.00
_cell_angle_beta 90.00
_cell_angle_gamma 90.00
loop_
_atom_site_label
_atom_site_fract_x
_atom_site_fract_y
_atom_site_fract_z
Na1 0.000 0.000 0.000
Mn1 0.000 0.500 0.000
Co1 0.500 0.500 0.500
Os1 0.000 0.000 0.500
```